[1]
This entry pairs a crystal structure of Sr2NdTaCu2O8 with its simulated PXRD pattern. Radiation: Cu Kα, 1.54184 Å. Structure: a PBE-relaxed structure.
Peak positions follow from Bragg's law for the DFT cell and can differ from measured ones.

Crystal structure
```
14
Lattice="3.949 0.000 0.000 0.000 3.949 0.000 0.000 0.000 11.798" Properties=species:S:1:pos:R:3 pbc="T T T"
Sr 0.000 0.000 2.354
Sr 0.000 0.000 9.444
Nd 0.000 0.000 5.899
Ta 1.975 1.975 0.000
Cu 1.975 1.975 4.202
Cu 1.975 1.975 7.596
O 0.000 1.975 0.000
O 0.000 1.975 4.355
O 0.000 1.975 7.443
O 1.975 0.000 0.000
O 1.975 0.000 4.355
O 1.975 0.000 7.443
O 1.975 1.975 1.980
O 1.975 1.975 9.818
```

The 8 most intense peaks (10 to 90 degrees two-theta), low angle first:
2theta, intensity
15.02, 8
23.76, 18
32.10, 100
44.71, 9
45.96, 22
57.18, 26
57.31, 8
76.26, 11

=====

[2]
This entry pairs a crystal structure of NdTl4Cu3O12 with its simulated PXRD pattern. Radiation: Cu Kα, 1.54184 Å. Structure: a PBE-relaxed structure.
Peak positions follow from Bragg's law for the DFT cell and can differ from measured ones.

Crystal structure
```
20
Lattice="-4.040 4.040 4.040 4.040 -4.040 4.040 4.040 4.040 -4.040" Properties=species:S:1:pos:R:3 pbc="T T T"
Nd 0.000 0.000 0.000
Tl 2.020 2.020 -2.020
Tl 2.020 -2.020 2.020
Tl -2.020 2.020 2.020
Tl 2.020 2.020 2.020
Cu 4.040 0.000 0.000
Cu 0.000 4.040 0.000
Cu 0.000 0.000 4.040
O 2.573 1.204 0.000
O 5.507 1.204 0.000
O 4.040 -1.467 2.836
O 2.836 4.040 -1.467
O 1.204 0.000 2.573
O 0.000 2.573 1.204
O 4.040 1.467 2.836
O 2.836 4.040 1.467
O 1.204 0.000 5.507
O 0.000 5.507 1.204
O -1.467 2.836 4.040
O 1.467 2.836 4.040
```

The 8 most intense peaks (10 to 90 degrees two-theta), low angle first:
2theta, intensity
22.00, 19
31.31, 100
38.60, 5
44.87, 21
50.51, 11
55.73, 46
65.33, 12
74.23, 18

=====

[3]
This entry pairs a crystal structure of PmNdCuOs with its simulated PXRD pattern. Radiation: Cu Kα, 1.54184 Å. Structure: a PBE-relaxed structure.
Peak positions follow from Bragg's law for the DFT cell and can differ from measured ones.

Crystal structure
```
4
Lattice="0.000 3.534 3.534 3.534 0.000 3.534 3.534 3.534 0.000" Properties=species:S:1:pos:R:3 pbc="T T T"
Pm 0.000 0.000 0.000
Nd 3.534 3.534 3.534
Cu 5.301 5.301 5.301
Os 1.767 1.767 1.767
```

The 8 most intense peaks (10 to 90 degrees two-theta), low angle first:
2theta, intensity
21.78, 11
35.94, 100
42.41, 6
51.73, 18
56.77, 3
64.60, 36
76.19, 11
87.23, 16

=====

[4]
This entry pairs a crystal structure of NdCu6P2 with its simulated PXRD pattern. Radiation: Cu Kα, 1.54184 Å. Structure: a PBE-relaxed structure.
Peak positions follow from Bragg's law for the DFT cell and can differ from measured ones.

Crystal structure
```
9
Lattice="3.844 0.000 0.000 0.000 3.844 0.000 0.000 0.000 8.787" Properties=species:S:1:pos:R:3 pbc="T T T"
Nd 0.000 0.000 0.000
Cu 0.000 0.000 4.393
Cu 0.000 1.922 2.684
Cu 0.000 1.922 6.103
Cu 1.922 0.000 2.684
Cu 1.922 0.000 6.103
Cu 1.922 1.922 4.393
P 1.922 1.922 1.344
P 1.922 1.922 7.443
```

The 8 most intense peaks (10 to 90 degrees two-theta), low angle first:
2theta, intensity
25.29, 16
30.91, 23
38.65, 19
38.97, 100
45.53, 23
47.30, 48
69.12, 14
82.31, 20

=====

[5]
This entry pairs a crystal structure of NdCuP with its simulated PXRD pattern. Radiation: Cu Kα, 1.54184 Å. Structure: a PBE-relaxed structure.
Peak positions follow from Bragg's law for the DFT cell and can differ from measured ones.

Crystal structure
```
6
Lattice="-2.021 2.021 7.047 2.021 -2.021 7.047 2.021 2.021 -7.047" Properties=species:S:1:pos:R:3 pbc="T T T"
Nd 0.000 0.000 0.000
Nd 0.000 2.021 3.524
Cu 0.000 0.000 5.826
Cu 0.000 0.000 8.269
P 2.021 0.000 2.343
P 2.021 0.000 4.704
```

The 8 most intense peaks (10 to 90 degrees two-theta), low angle first:
2theta, intensity
29.15, 45
33.85, 100
38.95, 52
44.85, 36
50.65, 22
60.88, 27
69.94, 16
75.62, 19

=====

[6]
This entry pairs a crystal structure of Nd2PaCuS5 with its simulated PXRD pattern. Radiation: Cu Kα, 1.54184 Å. Structure: a PBE-relaxed structure.
Peak positions follow from Bragg's law for the DFT cell and can differ from measured ones.

Crystal structure
```
18
Lattice="1.924 -8.293 0.000 1.924 8.293 0.000 0.000 0.000 12.126" Properties=species:S:1:pos:R:3 pbc="T T T"
Nd 1.924 6.378 6.063
Nd 1.924 6.363 10.306
Nd 1.924 -6.363 4.243
Nd 1.924 -6.378 0.000
Pa 1.924 5.286 2.201
Pa 1.924 -5.286 8.264
Cu 1.924 0.836 6.980
Cu 1.924 -0.836 0.917
S 1.924 7.963 2.072
S 1.924 3.273 10.229
S 1.924 3.082 6.277
S 1.924 2.567 2.126
S 1.924 0.101 10.987
S 1.924 -0.101 4.924
S 1.924 -2.567 8.189
S 1.924 -3.082 0.214
S 1.924 -3.273 4.166
S 1.924 -7.963 8.135
```

The 8 most intense peaks (10 to 90 degrees two-theta), low angle first:
2theta, intensity
22.66, 19
24.50, 57
28.26, 32
32.58, 100
33.24, 25
38.80, 44
47.24, 23
53.91, 19

=====

[7]
This entry pairs a crystal structure of Nd3Cu2Pd5 with its simulated PXRD pattern. Radiation: Cu Kα, 1.54184 Å. Structure: a PBE-relaxed structure.
Peak positions follow from Bragg's law for the DFT cell and can differ from measured ones.

Crystal structure
```
20
Lattice="9.899 0.000 0.000 0.000 9.899 0.000 0.000 0.000 4.000" Properties=species:S:1:pos:R:3 pbc="T T T"
Nd 0.000 0.000 0.000
Nd 1.731 3.219 0.000
Nd 3.219 8.169 0.000
Nd 4.950 4.950 0.000
Nd 6.680 1.731 0.000
Nd 8.169 6.680 0.000
Cu 1.164 6.113 0.000
Cu 3.786 1.164 0.000
Cu 6.113 8.736 0.000
Cu 8.736 3.786 0.000
Pd 0.000 4.950 2.000
Pd 0.697 7.745 2.000
Pd 2.155 0.697 2.000
Pd 2.795 5.647 2.000
Pd 4.253 2.795 2.000
Pd 4.950 0.000 2.000
Pd 5.647 7.104 2.000
Pd 7.104 4.253 2.000
Pd 7.745 9.202 2.000
Pd 9.202 2.155 2.000
```

The 8 most intense peaks (10 to 90 degrees two-theta), low angle first:
2theta, intensity
30.11, 33
34.04, 31
36.45, 100
37.46, 45
39.82, 35
40.76, 22
45.35, 28
60.23, 22

=====

[8]
This entry pairs a crystal structure of Nd3CuPd2 with its simulated PXRD pattern. Radiation: Cu Kα, 1.54184 Å. Structure: a PBE-relaxed structure.
Peak positions follow from Bragg's law for the DFT cell and can differ from measured ones.

Crystal structure
```
24
Lattice="12.040 0.000 0.000 0.000 4.127 0.000 0.000 0.000 12.052" Properties=species:S:1:pos:R:3 pbc="T T T"
Nd 0.661 1.032 1.554
Nd 1.508 3.095 6.802
Nd 2.564 1.032 9.796
Nd 3.456 3.095 3.770
Nd 4.512 1.032 0.776
Nd 5.359 3.095 7.580
Nd 6.681 1.032 4.472
Nd 7.528 3.095 11.276
Nd 8.584 1.032 8.282
Nd 9.476 3.095 2.256
Nd 10.532 1.032 5.250
Nd 11.379 3.095 10.498
Cu 1.484 1.032 4.558
Cu 4.536 3.095 10.584
Cu 7.504 1.032 1.468
Cu 10.556 3.095 7.494
Pd 0.112 3.095 3.714
Pd 2.209 3.095 11.981
Pd 3.811 1.032 5.955
Pd 5.908 1.032 9.740
Pd 6.132 3.095 2.312
Pd 8.229 3.095 6.097
Pd 9.831 1.032 0.071
Pd 11.928 1.032 8.338
```

The 8 most intense peaks (10 to 90 degrees two-theta), low angle first:
2theta, intensity
30.15, 61
30.60, 67
31.07, 93
31.97, 67
34.55, 98
37.73, 73
39.97, 57
43.85, 100

=====

[9]
This entry pairs a crystal structure of Nd4Cu3Pd with its simulated PXRD pattern. Radiation: Cu Kα, 1.54184 Å. Structure: a PBE-relaxed structure.
Peak positions follow from Bragg's law for the DFT cell and can differ from measured ones.

Crystal structure
```
8
Lattice="3.929 0.000 0.000 0.000 4.553 0.000 0.000 0.000 10.784" Properties=species:S:1:pos:R:3 pbc="T T T"
Nd 0.000 0.000 0.000
Nd 0.000 2.277 3.014
Nd 1.964 0.000 5.374
Nd 1.964 2.277 8.397
Cu 0.000 2.277 6.101
Cu 1.964 0.000 2.220
Cu 1.964 2.277 0.771
Pd 0.000 0.000 7.691
```

The 8 most intense peaks (10 to 90 degrees two-theta), low angle first:
2theta, intensity
25.61, 25
31.19, 100
33.23, 23
33.80, 40
38.82, 22
39.31, 54
39.58, 31
53.01, 22

=====

[10]
This entry pairs a crystal structure of NdCu4Pd with its simulated PXRD pattern. Radiation: Cu Kα, 1.54184 Å. Structure: a PBE-relaxed structure.
Peak positions follow from Bragg's law for the DFT cell and can differ from measured ones.

Crystal structure
```
6
Lattice="2.514 1.451 4.382 -2.514 1.451 4.382 0.000 -2.903 4.382" Properties=species:S:1:pos:R:3 pbc="T T T"
Nd 0.000 0.000 0.000
Cu -1.252 -0.723 6.106
Cu 0.000 0.000 3.032
Cu 1.252 -0.723 6.106
Cu 0.000 1.446 6.106
Pd 0.000 0.000 8.257
```

The 8 most intense peaks (10 to 90 degrees two-theta), low angle first:
2theta, intensity
34.18, 25
35.71, 50
40.06, 70
41.41, 100
42.07, 34
43.80, 49
67.09, 29
75.66, 22

=====

[11]
This entry pairs a crystal structure of NdCuSn2Pd4 with its simulated PXRD pattern. Radiation: Cu Kα, 1.54184 Å. Structure: a PBE-relaxed structure.
Peak positions follow from Bragg's law for the DFT cell and can differ from measured ones.

Crystal structure
```
8
Lattice="2.246 1.297 8.764 -2.246 1.297 8.764 0.000 -2.594 8.764" Properties=species:S:1:pos:R:3 pbc="T T T"
Nd 0.000 0.000 0.000
Cu 0.000 0.000 13.146
Sn 0.000 0.000 6.296
Sn 0.000 0.000 19.996
Pd 0.000 0.000 3.519
Pd 0.000 0.000 10.536
Pd 0.000 0.000 15.756
Pd 0.000 0.000 22.772
```

The 8 most intense peaks (10 to 90 degrees two-theta), low angle first:
2theta, intensity
28.54, 22
33.15, 12
35.76, 80
40.14, 100
44.49, 22
54.84, 23
70.10, 22
72.94, 17

=====

[12]
This entry pairs a crystal structure of Nd2Zn3CuPd4 with its simulated PXRD pattern. Radiation: Cu Kα, 1.54184 Å. Structure: a PBE-relaxed structure.
Peak positions follow from Bragg's law for the DFT cell and can differ from measured ones.

Crystal structure
```
10
Lattice="4.164 0.000 0.000 0.000 4.164 0.000 0.000 0.000 10.976" Properties=species:S:1:pos:R:3 pbc="T T T"
Nd 0.000 2.082 2.727
Nd 2.082 0.000 8.249
Zn 0.000 0.000 0.000
Zn 0.000 2.082 6.947
Zn 2.082 0.000 4.029
Cu 2.082 2.082 0.000
Pd 0.000 0.000 5.488
Pd 0.000 2.082 9.453
Pd 2.082 0.000 1.524
Pd 2.082 2.082 5.488
```

The 8 most intense peaks (10 to 90 degrees two-theta), low angle first:
2theta, intensity
32.58, 61
34.57, 100
43.47, 54
46.78, 33
55.37, 29
63.16, 17
65.76, 23
74.05, 21